No. 1
# K2TiSi6O15
Simulated PXRD pattern, CuKα. Input: a GGA-PBE-relaxed structure.
Lines closer than 0.1° are merged.

Peak list (10 most intense, 2θ from 10° to 90°, sorted by position)
(hkl)  2theta  I (rel.)
1 1 0  14.78  268
0 2 1  18.17  294
1 3 0  24.51  318
0 1 2  24.84  1000
1 3 -1  25.62  557
2 1 -1  26.63  404
1 2 -2  27.59  237
2 2 -1  29.24  316
2 2 0  29.82  231
1 4 -1  31.58  384

Crystal structure
Lattice parameters (Å, degrees): 7.0442 12.9191 7.7668 90.00 106.23 90.00
Space group P2_1 (No. 4)
Inequivalent atoms, fractional coordinates:
K1 0.1833 0.0000 0.4259
K2 0.1963 0.2961 0.1569
Ti1 0.2446 0.6564 0.7505
Si1 0.0083 0.7283 0.3307
Si2 0.0126 0.5631 0.0415
Si3 0.3071 0.8999 0.9310
Si4 0.3303 0.3955 0.7091
Si5 0.4463 0.7397 0.4428
Si6 0.4510 0.5706 0.1631
O1 0.0229 0.6129 0.8546
O2 0.0265 0.6788 0.5241
O3 0.0700 0.1465 0.8366
O4 0.1354 0.3297 0.7226
O5 0.1380 0.9637 0.9987
O6 0.2062 0.7982 0.8276
O7 0.2246 0.7742 0.3217
O8 0.2326 0.5205 0.1595
O9 0.2688 0.5140 0.6679
O10 0.3883 0.9747 0.7932
O11 0.4107 0.3422 0.5482
O12 0.4360 0.6279 0.9760
O13 0.4494 0.7064 0.6430
O14 0.4718 0.1452 0.6596
O15 0.4984 0.8767 0.1017

=====

No. 2
# Pr2AlPt7
Simulated PXRD pattern, CuKα. Input: a GGA-PBE-relaxed structure.
Lines closer than 0.1° are merged.

Peak list (10 most intense, 2θ from 10° to 90°, sorted by position)
(hkl)  2theta  I (rel.)
1 0 1  23.34  309
1 0 3  31.10  399
1 1 2  34.83  1000
1 0 5  42.91  494
1 1 4  43.28  473
2 0 0  45.27  569
2 1 5  64.14  303
2 2 0  65.96  187
3 1 2  76.80  207
3 1 4  82.22  172

Crystal structure
Lattice parameters (Å, degrees): 4.0060 4.0060 12.3913 90.00 90.00 90.00
Space group P-4m2 (No. 115)
Inequivalent atoms, fractional coordinates:
Pr1 0.0000 0.5000 0.2340
Al1 0.0000 0.0000 0.5000
Pt1 0.0000 0.0000 0.0000
Pt2 0.0000 0.5000 0.6397
Pt3 0.0000 0.5000 0.8480
Pt4 0.5000 0.5000 0.0000
Pt5 0.5000 0.5000 0.5000

=====

No. 3
# Tm2Mg3Hg4
Simulated PXRD pattern, CuKα. Input: a GGA-PBE-relaxed structure.
Lines closer than 0.1° are merged.

Peak list (10 most intense, 2θ from 10° to 90°, sorted by position)
(hkl)  2theta  I (rel.)
1 1 -1  22.52  310
2 0 1  22.59  264
1 1 -3  34.92  707
2 0 3  35.07  349
3 1 0  35.95  1000
4 0 -3  50.80  123
2 2 3  51.13  242
1 1 6  62.15  127
4 2 -3  63.83  125
1 3 -3  64.06  247

Crystal structure
Lattice parameters (Å, degrees): 8.6656 4.9900 9.5609 90.00 90.38 90.00
Space group C2/m (No. 12)
Inequivalent atoms, fractional coordinates:
Tm1 0.1677 0.0000 0.2141
Mg1 0.0000 0.5000 0.0000
Mg2 0.1658 0.0000 0.5721
Hg1 0.0020 0.5000 0.3397
Hg2 0.1662 0.0000 0.8952

=====

No. 4
# Nd3ZnGa2
Simulated PXRD pattern, CuKα. Input: a GGA-PBE-relaxed structure.
Lines closer than 0.1° are merged.

Peak list (10 most intense, 2θ from 10° to 90°, sorted by position)
(hkl)  2theta  I (rel.)
1 0 0  24.28  130
1 0 3  34.17  1000
1 1 0  34.60  484
0 0 6  48.44  92
2 0 0  49.74  172
1 1 6  60.89  184
2 1 3  61.73  355
2 0 6  71.96  111
1 0 9  81.13  79
3 0 3  83.11  76

Crystal structure
Lattice parameters (Å, degrees): 3.6661 3.6661 11.2747 90.00 90.00 90.00
Space group P4/mmm (No. 123)
Inequivalent atoms, fractional coordinates:
Nd1 0.0000 0.0000 0.0000
Nd2 0.0000 0.0000 0.3355
Zn1 0.5000 0.5000 0.5000
Ga1 0.5000 0.5000 0.1713

=====

No. 5
# KLiSeBr
Simulated PXRD pattern, CuKα. Input: a GGA-PBE-relaxed structure.
Lines closer than 0.1° are merged.

Peak list (10 most intense, 2θ from 10° to 90°, sorted by position)
(hkl)  2theta  I (rel.)
0 1 0  18.68  505
1 0 -1  21.85  290
1 1 -1  28.89  1000
1 1 1  34.58  522
0 0 2  35.70  264
2 0 0  37.21  234
0 2 0  37.89  222
2 0 -2  44.55  138
0 2 2  53.04  165
2 2 0  54.15  151

Crystal structure
Lattice parameters (Å, degrees): 5.0136 4.7495 5.2180 90.00 105.45 90.00
Space group P2/m (No. 10)
Inequivalent atoms, fractional coordinates:
K1 0.0000 0.0000 0.0000
Li1 0.5000 0.5000 0.5000
Se1 0.0000 0.5000 0.5000
Br1 0.5000 0.5000 0.0000

=====

No. 6
# MgTl3
Simulated PXRD pattern, CuKα. Input: a GGA-PBE-relaxed structure.
Lines closer than 0.1° are merged.

Peak list (10 most intense, 2θ from 10° to 90°, sorted by position)
(hkl)  2theta  I (rel.)
1 1 0  20.46  295
2 0 0  29.10  107
2 1 0  32.62  1000
2 1 1  35.84  249
2 2 2  51.59  194
3 2 0  53.86  248
3 2 1  56.07  139
4 0 0  60.32  108
4 2 1  70.28  226
5 2 0  85.13  209

Crystal structure
Lattice parameters (Å, degrees): 6.1376 6.1376 6.1376 90.00 90.00 90.00
Space group Pm-3n (No. 223)
Inequivalent atoms, fractional coordinates:
Mg1 0.0000 0.0000 0.0000
Tl1 0.0000 0.2500 0.5000

=====

No. 7
# LiAg2Br5
Simulated PXRD pattern, CuKα. Input: a GGA-PBE-relaxed structure.
Lines closer than 0.1° are merged.

Peak list (10 most intense, 2θ from 10° to 90°, sorted by position)
(hkl)  2theta  I (rel.)
1 1 0  11.09  1000
0 1 1  13.17  808
1 0 1  13.33  910
1 1 2  24.19  623
1 2 2  27.73  576
2 1 2  27.96  597
2 3 0  28.33  548
0 4 2  38.14  639
4 2 2  42.22  564
0 0 4  43.67  529

Crystal structure
Lattice parameters (Å, degrees): 11.1063 11.4785 8.2924 90.00 90.00 90.00
Space group Pnnm (No. 58)
Inequivalent atoms, fractional coordinates:
Li1 0.2225 0.2451 0.0000
Ag1 0.0000 0.5000 0.2547
Ag2 0.1269 0.1281 0.5000
Br1 0.1079 0.8966 0.5000
Br2 0.1111 0.2894 0.2548
Br3 0.1430 0.5920 0.0000
Br4 0.1606 0.5617 0.5000

=====

No. 8
# BaAcSi3
Simulated PXRD pattern, CuKα. Input: a GGA-PBE-relaxed structure.
Lines closer than 0.1° are merged.

Peak list (10 most intense, 2θ from 10° to 90°, sorted by position)
(hkl)  2theta  I (rel.)
1 1 0  18.91  255
0 4 1  25.15  401
0 8 0  26.95  155
1 7 0  30.15  1000
1 5 1  33.11  222
2 0 0  37.73  153
2 4 1  45.89  165
1 11 1  47.55  170
1 7 2  53.56  164
3 7 0  63.49  122

Crystal structure
Lattice parameters (Å, degrees): 4.7679 26.4653 4.1917 90.00 90.00 90.00
Space group Cmcm (No. 63)
Inequivalent atoms, fractional coordinates:
Ba1 0.0000 0.2010 0.2500
Ac1 0.0000 0.0669 0.7500
Si1 0.0000 0.3412 0.2500
Si2 0.0000 0.3881 0.7500
Si3 0.0000 0.4787 0.7500

=====

No. 9
# Hf6PIr
Simulated PXRD pattern, CuKα. Input: a GGA-PBE-relaxed structure.
Lines closer than 0.1° are merged.

Peak list (10 most intense, 2θ from 10° to 90°, sorted by position)
(hkl)  2theta  I (rel.)
0 0 1  14.89  255
2 0 -1  29.06  271
0 0 2  30.04  272
1 1 -2  31.64  341
1 3 0  32.21  472
1 3 -1  34.15  246
2 0 1  35.50  410
1 3 1  37.10  1000
2 2 -2  41.54  284
3 1 -1  43.74  249

Crystal structure
Lattice parameters (Å, degrees): 6.4123 9.3150 6.1183 90.00 103.53 90.00
Space group C2/m (No. 12)
Inequivalent atoms, fractional coordinates:
Hf1 0.1449 0.1782 0.2995
Hf2 0.2103 0.5000 0.2070
P1 0.0000 0.0000 0.0000
Ir1 0.0000 0.5000 0.5000

=====

No. 10
# Ba2BeSi
Simulated PXRD pattern, CuKα. Input: a GGA-PBE-relaxed structure.
Lines closer than 0.1° are merged.

Peak list (10 most intense, 2θ from 10° to 90°, sorted by position)
(hkl)  2theta  I (rel.)
0 0 6  19.70  673
1 0 1  24.91  998
0 1 2  25.56  247
1 0 4  28.04  475
0 1 5  29.78  1000
1 0 7  34.01  534
1 1 0  43.46  454
0 1 11  44.62  262
1 1 6  48.14  395
1 1 12  60.54  408

Crystal structure
Lattice parameters (Å, degrees): 4.1645 4.1645 27.0330 90.00 90.00 120.00
Space group R3m (No. 160, hexagonal axes)
Inequivalent atoms, fractional coordinates:
Ba1 0.0000 0.0000 0.0000
Ba2 0.0000 0.0000 0.1723
Be1 0.0000 0.0000 0.4196
Si1 0.0000 0.0000 0.7529

=====

No. 11
# Ti6Al5W
Simulated PXRD pattern, CuKα. Input: a GGA-PBE-relaxed structure.
Lines closer than 0.1° are merged.

Peak list (10 most intense, 2θ from 10° to 90°, sorted by position)
(hkl)  2theta  I (rel.)
0 0 1  11.53  347
0 2 0  14.21  190
0 2 1  18.34  232
1 1 1  25.82  178
1 1 2  32.93  190
1 3 2  38.88  1000
0 6 0  43.57  179
2 0 0  44.61  167
0 0 4  47.36  195
3 3 2  78.34  127

Crystal structure
Lattice parameters (Å, degrees): 4.0620 12.4633 7.6774 90.00 90.00 90.00
Space group Cmmm (No. 65)
Inequivalent atoms, fractional coordinates:
Ti1 0.0000 0.0000 0.2372
Ti2 0.0000 0.3335 0.2460
Al1 0.0000 0.1655 0.0000
Al2 0.0000 0.1666 0.5000
Al3 0.0000 0.5000 0.5000
W1 0.0000 0.5000 0.0000

=====

No. 12
# Li3Si2Ge
Simulated PXRD pattern, CuKα. Input: a GGA-PBE-relaxed structure.
Lines closer than 0.1° are merged.

Peak list (10 most intense, 2θ from 10° to 90°, sorted by position)
(hkl)  2theta  I (rel.)
1 0 0  12.42  244
1 1 0  17.36  521
1 1 1  21.56  1000
0 0 2  23.08  257
0 2 1  26.93  519
1 1 -2  27.96  278
2 1 -2  34.73  278
0 2 3  42.99  243
1 2 3  45.97  242
3 2 -1  46.05  328

Crystal structure
Lattice parameters (Å, degrees): 7.1617 7.3309 7.7487 90.00 95.85 90.00
Space group P2_1/c (No. 14)
Inequivalent atoms, fractional coordinates:
Li1 0.1596 0.0390 0.3933
Li2 0.3003 0.7157 0.1551
Li3 0.3395 0.0845 0.0706
Si1 0.0548 0.6183 0.4091
Si2 0.4949 0.0869 0.6264
Ge1 0.1803 0.1332 0.7332

=====

What did the sixth record say?
# MgTl3
Simulated PXRD pattern, CuKα. Input: a GGA-PBE-relaxed structure.
Lines closer than 0.1° are merged.

Peak list (10 most intense, 2θ from 10° to 90°, sorted by position)
(hkl)  2theta  I (rel.)
1 1 0  20.46  295
2 0 0  29.10  107
2 1 0  32.62  1000
2 1 1  35.84  249
2 2 2  51.59  194
3 2 0  53.86  248
3 2 1  56.07  139
4 0 0  60.32  108
4 2 1  70.28  226
5 2 0  85.13  209

Crystal structure
Lattice parameters (Å, degrees): 6.1376 6.1376 6.1376 90.00 90.00 90.00
Space group Pm-3n (No. 223)
Inequivalent atoms, fractional coordinates:
Mg1 0.0000 0.0000 0.0000
Tl1 0.0000 0.2500 0.5000